The following is a simulated powder diffractogram of Tm4Bi3As. It was derived from DFT lattice parameters and positions (PBE), using Cu Kα (λ = 1.5418 Å).

Main lines, low angle first (2θ from 10° to 90°):
- 2θ 29.09, I 100
- 2θ 41.60, I 51
- 2θ 41.82, I 13
- 2θ 51.38, I 13
- 2θ 51.75, I 14
- 2θ 68.32, I 23

Cell and atoms:
a = 8.7265 Å, b = 12.2801 Å, c = 4.3198 Å
α = 90.00°, β = 90.00°, γ = 90.00°
Space group Cmmm (No. 65)
Symmetry-distinct sites (fractional):
Tm: 0.0000 0.2408 0.0000 x4
Tm: 0.2335 0.0000 0.5000 x4
Bi: 0.0000 0.5000 0.0000 x2
Bi: 0.2500 0.2500 0.5000 x4
As: 0.0000 0.0000 0.0000 x2